Ti19N25: calculated powder X-ray diffraction pattern (copper Kα), based on the GGA-PBE geometry in the Materials Project.
Intensities are scaled so that the largest is 100.

Principal peaks in the range 5 to 70 degrees two-theta, by angle:
2theta, I (rel.)
8.8, 9
11.7, 8
16.1, 12
20.5, 10
25.0, 6
36.2, 36
37.1, 11
42.3, 100
60.8, 31
62.0, 23

Crystal structure
```
Ti19N25
1.0
1.5237 0.8797 60.5917
-1.5237 0.8797 60.5917
0.0000 -1.7594 60.5917
Ti N
19 25
direct
0.0000 0.0000 0.0000
0.1200 0.1200 0.1200
0.1600 0.1600 0.1600
0.2000 0.2000 0.2000
0.2416 0.2416 0.2416
0.2808 0.2808 0.2808
0.3599 0.3599 0.3599
0.4007 0.4007 0.4007
0.4397 0.4397 0.4397
0.4800 0.4800 0.4800
0.5200 0.5200 0.5200
0.5603 0.5603 0.5603
0.5993 0.5993 0.5993
0.6401 0.6401 0.6401
0.7192 0.7192 0.7192
0.7584 0.7584 0.7584
0.8000 0.8000 0.8000
0.8400 0.8400 0.8400
0.8800 0.8800 0.8800
0.0213 0.0213 0.0213
0.0600 0.0600 0.0600
0.1003 0.1003 0.1003
0.1400 0.1400 0.1400
0.1800 0.1800 0.1800
0.2201 0.2201 0.2201
0.2614 0.2614 0.2614
0.3014 0.3014 0.3014
0.3386 0.3386 0.3386
0.3813 0.3813 0.3813
0.4211 0.4211 0.4211
0.4600 0.4600 0.4600
0.5000 0.5000 0.5000
0.5400 0.5400 0.5400
0.5789 0.5789 0.5789
0.6187 0.6187 0.6187
0.6614 0.6614 0.6614
0.6986 0.6986 0.6986
0.7386 0.7386 0.7386
0.7799 0.7799 0.7799
0.8200 0.8200 0.8200
0.8600 0.8600 0.8600
0.8997 0.8997 0.8997
0.9400 0.9400 0.9400
0.9787 0.9787 0.9787
```



Si2Bi13Sb2O28: calculated powder X-ray diffraction pattern (copper Kα), based on the GGA-PBE geometry in the Materials Project.
Intensities are scaled so that the largest is 100.

Principal peaks in the range 5 to 70 degrees two-theta, by angle:
2theta, I (rel.)
17.2, 28
20.3, 28
21.5, 26
26.0, 100
26.6, 49
29.0, 97
29.9, 42
31.8, 85
32.7, 52
48.9, 34

Crystal structure
```
Si2Bi13Sb2O28
1.0
6.1283 0.0000 0.0000
1.0932 10.2914 0.0000
1.4446 0.1999 12.5301
Si Bi Sb O
2 13 2 28
direct
0.0000 0.0000 0.0000
0.4746 0.3224 0.0125
0.0263 0.5804 0.4645
0.0656 0.0247 0.6756
0.0743 0.2997 0.8557
0.1904 0.6548 0.1568
0.2852 0.6677 0.8552
0.4006 0.0228 0.1570
0.4104 0.2980 0.3368
0.4493 0.7423 0.5474
0.5310 0.0060 0.8667
0.6525 0.0223 0.4408
0.7379 0.6611 0.0060
0.8236 0.3004 0.5714
0.9444 0.3164 0.1455
0.6453 0.6617 0.2861
0.8305 0.6610 0.7258
0.0502 0.0779 0.1073
0.0609 0.0890 0.8908
0.0656 0.3714 0.4495
0.0825 0.2358 0.6953
0.0973 0.7627 0.7306
0.1569 0.8613 0.9916
0.3170 0.4609 0.0209
0.3785 0.5600 0.2814
0.3931 0.0870 0.3172
0.4105 0.9513 0.5626
0.4140 0.2334 0.1218
0.4245 0.2444 0.9053
0.4977 0.8033 0.3789
0.5214 0.7616 0.1590
0.5365 0.2231 0.4818
0.5371 0.5890 0.7275
0.6416 0.7818 0.8428
0.6946 0.5619 0.4239
0.7151 0.0664 0.7333
0.7299 0.9862 0.0080
0.7445 0.3367 0.0045
0.7610 0.2563 0.2793
0.7811 0.7607 0.5881
0.8345 0.5407 0.1693
0.9387 0.7336 0.2846
0.9397 0.0995 0.5306
0.9549 0.5609 0.8529
0.9781 0.5195 0.6330
```



Nb5Pt3O: calculated powder X-ray diffraction pattern (copper Kα), based on the GGA-PBE geometry in the Materials Project.
Intensities are scaled so that the largest is 100.

Principal peaks in the range 5 to 70 degrees two-theta, by angle:
2theta, I (rel.)
12.7, 14
28.3, 25
34.0, 18
35.3, 21
38.4, 100
38.7, 34
42.1, 52
44.1, 16
50.4, 34
65.5, 21

Crystal structure
```
Nb5Pt3O
1.0
8.0605 0.0000 0.0000
-4.0302 6.9806 0.0000
0.0000 0.0000 5.0784
Nb Pt O
10 6 2
direct
0.0000 0.2375 0.2500
0.0000 0.7625 0.7500
0.2375 0.0000 0.2500
0.2375 0.2375 0.7500
0.3333 0.6667 0.0000
0.3333 0.6667 0.5000
0.6667 0.3333 0.0000
0.6667 0.3333 0.5000
0.7625 0.0000 0.7500
0.7625 0.7625 0.2500
0.0000 0.4042 0.7500
0.0000 0.5958 0.2500
0.4042 0.0000 0.7500
0.4042 0.4042 0.2500
0.5958 0.0000 0.2500
0.5958 0.5958 0.7500
0.0000 0.0000 0.0000
0.0000 0.0000 0.5000
```



K3TaBr6: calculated powder X-ray diffraction pattern (copper Kα), based on the GGA-PBE geometry in the Materials Project.
Intensities are scaled so that the largest is 100.

Principal peaks in the range 5 to 70 degrees two-theta, by angle:
2theta, I (rel.)
13.4, 66
15.5, 86
21.9, 18
26.9, 39
31.2, 100
35.0, 40
40.9, 26
44.7, 68
47.6, 21
55.5, 22

Crystal structure
```
K3TaBr6
1.0
0.0000 5.7329 5.7329
5.7329 0.0000 5.7329
5.7329 5.7329 0.0000
K Ta Br
3 1 6
direct
0.0000 0.0000 0.0000
0.2500 0.2500 0.2500
0.7500 0.7500 0.7500
0.5000 0.5000 0.5000
0.2711 0.2711 0.7289
0.2711 0.7289 0.2711
0.2711 0.7289 0.7289
0.7289 0.2711 0.2711
0.7289 0.2711 0.7289
0.7289 0.7289 0.2711
```



LiSn4Ru: calculated powder X-ray diffraction pattern (copper Kα), based on the GGA-PBE geometry in the Materials Project.
Intensities are scaled so that the largest is 100.

Principal peaks in the range 5 to 70 degrees two-theta, by angle:
2theta, I (rel.)
15.7, 33
30.8, 100
31.6, 25
37.0, 31
38.3, 97
41.8, 35
42.6, 48
62.1, 18
65.6, 27
67.8, 30

Crystal structure
```
LiSn4Ru
1.0
-3.3580 3.3580 5.6571
3.3580 -3.3580 5.6571
3.3580 3.3580 -5.6571
Li Sn Ru
2 8 2
direct
0.0000 0.0000 0.0000
0.5000 0.5000 0.0000
0.0227 0.5227 0.8201
0.2026 0.0227 0.5000
0.2974 0.7974 0.8201
0.4773 0.2974 0.5000
0.5227 0.7026 0.5000
0.7026 0.2026 0.1799
0.7974 0.9773 0.5000
0.9773 0.4773 0.1799
0.2500 0.2500 0.0000
0.7500 0.7500 0.0000
```



TmSnPd2: calculated powder X-ray diffraction pattern (copper Kα), based on the GGA-PBE geometry in the Materials Project.
Intensities are scaled so that the largest is 100.

Principal peaks in the range 5 to 70 degrees two-theta, by angle:
2theta, I (rel.)
22.8, 2
26.4, 2
37.7, 100
44.5, 1
46.6, 1
54.4, 17
61.5, 1
68.1, 35

Crystal structure
```
TmSnPd2
1.0
0.0000 3.3734 3.3734
3.3734 0.0000 3.3734
3.3734 3.3734 0.0000
Tm Sn Pd
1 1 2
direct
0.0000 0.0000 0.0000
0.5000 0.5000 0.5000
0.2500 0.2500 0.2500
0.7500 0.7500 0.7500
```



Er2MgGe2: calculated powder X-ray diffraction pattern (copper Kα), based on the GGA-PBE geometry in the Materials Project.
Intensities are scaled so that the largest is 100.

Principal peaks in the range 5 to 70 degrees two-theta, by angle:
2theta, I (rel.)
17.4, 16
24.7, 16
27.6, 13
32.6, 27
35.0, 100
39.5, 18
42.8, 16
52.3, 11
57.0, 17
59.7, 11

Crystal structure
```
Er2MgGe2
1.0
7.2153 0.0000 0.0000
0.0000 7.2153 0.0000
0.0000 0.0000 4.2227
Er Mg Ge
4 2 4
direct
0.1772 0.3228 0.0000
0.3228 0.8228 0.0000
0.6772 0.1772 0.0000
0.8228 0.6772 0.0000
0.0000 0.0000 0.5000
0.5000 0.5000 0.5000
0.1243 0.6243 0.5000
0.3757 0.1243 0.5000
0.6243 0.8757 0.5000
0.8757 0.3757 0.5000
```



YBrO: calculated powder X-ray diffraction pattern (copper Kα), based on the GGA-PBE geometry in the Materials Project.
Intensities are scaled so that the largest is 100.

Principal peaks in the range 5 to 70 degrees two-theta, by angle:
2theta, I (rel.)
8.8, 27
17.6, 15
27.3, 28
30.5, 100
33.8, 25
35.5, 17
40.1, 24
47.0, 44
57.1, 16
60.3, 20

Crystal structure
```
YBrO
1.0
1.9331 1.1161 10.1029
-1.9331 1.1161 10.1029
0.0000 -2.2322 10.1029
Y Br O
2 2 2
direct
0.2139 0.2139 0.2139
0.7861 0.7861 0.7861
0.3888 0.3888 0.3888
0.6112 0.6112 0.6112
0.1382 0.1382 0.1382
0.8618 0.8618 0.8618
```



Repeat the fourth record exactly.
K3TaBr6: calculated powder X-ray diffraction pattern (copper Kα), based on the GGA-PBE geometry in the Materials Project.
Intensities are scaled so that the largest is 100.

Principal peaks in the range 5 to 70 degrees two-theta, by angle:
2theta, I (rel.)
13.4, 66
15.5, 86
21.9, 18
26.9, 39
31.2, 100
35.0, 40
40.9, 26
44.7, 68
47.6, 21
55.5, 22

Crystal structure
```
K3TaBr6
1.0
0.0000 5.7329 5.7329
5.7329 0.0000 5.7329
5.7329 5.7329 0.0000
K Ta Br
3 1 6
direct
0.0000 0.0000 0.0000
0.2500 0.2500 0.2500
0.7500 0.7500 0.7500
0.5000 0.5000 0.5000
0.2711 0.2711 0.7289
0.2711 0.7289 0.2711
0.2711 0.7289 0.7289
0.7289 0.2711 0.2711
0.7289 0.2711 0.7289
0.7289 0.7289 0.2711
```